1.
For BaMo6S8, a DFT-relaxed cell (GGA-PBE, the Materials Project) gives the computed powder XRD pattern in this record (Cu Kα).
Lines closer than 0.1° are merged.

Principal peaks in the range 2θ = 10–80°, sorted by position:
- hkl 1 0 1, 2θ 13.20, I 100
- hkl 0 1 2, 2θ 18.49, I 51
- hkl 1 1 0, 2θ 18.91, I 39
- hkl 3 -1 1, 2θ 30.04, I 56
- hkl 0 1 5, 2θ 39.49, I 39
- hkl 4 -3 1, 2θ 40.74, I 45
- hkl 2 1 4, 2θ 42.31, I 40
- hkl 4 -2 3, 2θ 44.89, I 76

Structural model:
Cell: 9.3853 9.3853 11.8888 Å, 90.00 90.00 120.00°
Space group R-3 (No. 148, hexagonal axes)
One atom of each set of equivalent atoms:
Ba 0.0000 0.0000 0.0000 [3 per cell]
Mo 0.0111 0.1706 0.4057 [18 per cell]
S 0.0000 0.0000 0.2522 [6 per cell]
S 0.0161 0.3749 0.2500 [18 per cell]


2.
For BaN, a DFT-relaxed cell (GGA-PBE, the Materials Project) gives the computed powder XRD pattern in this record (Cu Kα).
Lines closer than 0.1° are merged.

Principal peaks in the range 2θ = 10–80°, sorted by position:
- hkl 1 1 1, 2θ 26.98, I 100
- hkl 2 0 0, 2θ 31.25, I 80
- hkl 2 2 0, 2θ 44.78, I 57
- hkl 3 1 1, 2θ 53.05, I 48
- hkl 2 2 2, 2θ 55.61, I 19
- hkl 4 0 0, 2θ 65.18, I 9
- hkl 3 3 1, 2θ 71.88, I 20
- hkl 4 2 0, 2θ 74.06, I 25

Structural model:
Cell: 5.725 5.725 5.725 Å, 90.00 90.00 90.00°
Space group Fm-3m (No. 225)
One atom of each set of equivalent atoms:
Ba 0.000 0.000 0.000 [4 per cell]
N 0.000 0.000 0.500 [4 per cell]


3.
For Ba3NaN, a DFT-relaxed cell (GGA-PBE, the Materials Project) gives the computed powder XRD pattern in this record (Cu Kα).
Lines closer than 0.1° are merged.

Principal peaks in the range 2θ = 10–80°, sorted by position:
- hkl 1 0 0, 2θ 11.99, I 55
- hkl 2 0 0, 2θ 24.12, I 19
- hkl 0 0 2, 2θ 25.43, I 29
- hkl 2 0 1, 2θ 27.32, I 100
- hkl 2 1 1, 2θ 34.62, I 21
- hkl 2 0 2, 2θ 35.34, I 19
- hkl 2 0 3, 2θ 46.00, I 24
- hkl 3 2 0, 2θ 54.18, I 16

Structural model:
Cell: 8.5204 8.5204 7.0040 Å, 90.00 90.00 120.00°
Space group P6_3/mmc (No. 194)
One atom of each set of equivalent atoms:
Ba 0.1439 0.2877 0.2500 [6 per cell]
Na 0.3333 0.6667 0.7500 [2 per cell]
N 0.0000 0.0000 0.0000 [2 per cell]


4.
For Ba3Nb2N4, a DFT-relaxed cell (GGA-PBE, the Materials Project) gives the computed powder XRD pattern in this record (Cu Kα).
Lines closer than 0.1° are merged.

Principal peaks in the range 2θ = 10–80°, sorted by position:
- hkl 2 0 0, 2θ 10.45, I 49
- hkl 0 2 1, 2θ 25.55, I 83
- hkl 3 1 1, 2θ 27.25, I 78
- hkl 5 1 -1, 2θ 27.69, I 100
- hkl 5 1 0, 2θ 28.31, I 29
- hkl 2 0 -2, 2θ 28.58, I 81
- hkl 2 2 1, 2θ 29.55, I 39
- hkl 2 2 -3, 2θ 48.73, I 33

Structural model:
Cell: 17.930 8.647 6.249 Å, 90.00 109.27 90.00°
Space group C2/c (No. 15)
One atom of each set of equivalent atoms:
Ba 0.000 0.220 0.250 [4 per cell]
Ba 0.139 0.345 0.866 [8 per cell]
Nb 0.214 0.108 0.405 [8 per cell]
N 0.169 0.319 0.452 [8 per cell]
N 0.202 0.075 0.083 [8 per cell]


5.
For Ba3Nb2N4, a DFT-relaxed cell (GGA-PBE, the Materials Project) gives the computed powder XRD pattern in this record (Cu Kα).
Lines closer than 0.1° are merged.

Principal peaks in the range 2θ = 10–80°, sorted by position:
- hkl 0 3 1, 2θ 25.45, I 70
- hkl 1 0 3, 2θ 28.98, I 100
- hkl 2 1 0, 2θ 29.13, I 45
- hkl 1 1 3, 2θ 30.10, I 46
- hkl 1 3 2, 2θ 32.68, I 54
- hkl 2 2 1, 2θ 33.49, I 33
- hkl 1 3 4, 2θ 44.46, I 21
- hkl 3 2 3, 2θ 52.95, I 22

Structural model:
Cell: 6.376 11.128 10.557 Å, 90.00 90.00 90.00°
Space group Pnna (No. 52)
One atom of each set of equivalent atoms:
Ba 0.119 0.159 0.080 [8 per cell]
Ba 0.250 0.000 0.403 [4 per cell]
Nb 0.137 0.250 0.750 [4 per cell]
Nb 0.250 0.000 0.736 [4 per cell]
N 0.019 0.086 0.831 [8 per cell]
N 0.165 0.649 0.862 [8 per cell]


6.
For Ba2NiN2, a DFT-relaxed cell (GGA-PBE, the Materials Project) gives the computed powder XRD pattern in this record (Cu Kα).
Lines closer than 0.1° are merged.

Principal peaks in the range 2θ = 10–80°, sorted by position:
- hkl 1 0 1, 2θ 22.56, I 15
- hkl 0 0 4, 2θ 27.84, I 14
- hkl 1 0 3, 2θ 30.05, I 100
- hkl 1 1 0, 2θ 30.53, I 77
- hkl 1 1 4, 2θ 41.79, I 18
- hkl 2 0 0, 2θ 43.72, I 28
- hkl 1 1 6, 2θ 53.06, I 16
- hkl 2 1 3, 2θ 53.96, I 39

Structural model:
Cell: 4.141 4.141 12.819 Å, 90.00 90.00 90.00°
Space group I4/mmm (No. 139)
One atom of each set of equivalent atoms:
Ba 0.000 0.000 0.145 [4 per cell]
Ni 0.000 0.000 0.500 [2 per cell]
N 0.000 0.000 0.363 [4 per cell]